For U3S5, a GGA-PBE-relaxed structure gives the calculated powder XRD pattern in this record (Cu Kα (λ = 1.5418 Å)).

```
data_U3S5
_chemical_formula_sum 'U6 S10'
_cell_length_a 7.8842
_cell_length_b 7.8842
_cell_length_c 6.0803
_cell_angle_alpha 90.00
_cell_angle_beta 90.00
_cell_angle_gamma 120.00
_symmetry_space_group_name_H-M 'P 63/m c m'
_symmetry_Int_Tables_number 193
_symmetry_space_group_name_Hall '-P 6c 2'
loop_
_atom_site_label
_atom_site_type_symbol
_atom_site_fract_x
_atom_site_fract_y
_atom_site_fract_z
_atom_site_occupancy
U1 U 0.0000 0.3903 0.2500 1
S1 S 0.0000 0.2551 0.7500 1
S2 S 0.3333 0.6667 0.0000 1
```

Largest 6 diffraction maxima, low angle first, 2θ from 10° to 90°:
2theta  d/Å  Rel. int.
22.55  3.942  30
26.96  3.308  100
29.38  3.040  36
37.35  2.407  37
37.87  2.376  50
50.48  1.808  36

***

For U8VS17, a GGA-PBE-relaxed structure gives the calculated powder XRD pattern in this record (Cu Kα (λ = 1.5418 Å)).

```
data_U8VS17
_chemical_formula_sum 'U16 V2 S34'
_cell_length_a 13.164
_cell_length_b 8.339
_cell_length_c 10.316
_cell_angle_alpha 90.00
_cell_angle_beta 101.08
_cell_angle_gamma 90.00
_symmetry_space_group_name_H-M 'C 1 2/m 1'
_symmetry_Int_Tables_number 12
loop_
_symmetry_equiv_pos_as_xyz
'x,y,z'
'-x,-y,-z'
'-x,y,-z'
'x,-y,z'
'x+1/2,y+1/2,z'
'-x+1/2,-y+1/2,-z'
'-x+1/2,y+1/2,-z'
'x+1/2,-y+1/2,z'
loop_
_atom_site_label
_atom_site_type_symbol
_atom_site_fract_x
_atom_site_fract_y
_atom_site_fract_z
_atom_site_occupancy
U1 U 0.060 0.241 0.202 1
U2 U 0.183 0.500 0.517 1
U3 U 0.204 0.000 0.957 1
V1 V 0.000 0.000 0.500 1
S1 S 0.000 0.000 0.000 1
S2 S 0.021 0.500 0.669 1
S3 S 0.060 0.000 0.728 1
S4 S 0.127 0.306 0.965 1
S5 S 0.132 0.191 0.471 1
S6 S 0.198 0.500 0.255 1
S7 S 0.212 0.000 0.222 1
```

Largest 6 diffraction maxima, low angle first, 2θ from 10° to 90°:
2theta  d/Å  Rel. int.
24.34  3.657  60
25.43  3.503  100
26.04  3.422  62
27.35  3.261  61
27.73  3.218  85
35.49  2.529  43

***

Number 1 is which compound? U3S5